Y2Tm12Pu: computed powder diffraction line list (Cu Ka), based on a GGA-PBE-relaxed structure.
Intensities are scaled so that the largest is 100.

Most intense lines, 2θ = 15–90°, in order of rising 2θ:
d [Å], I_rel
4.212, 90
2.811, 77
2.733, 94
2.678, 100
2.492, 83
2.248, 88

Crystal structure
Lattice parameters (Å, degrees): 6.358 6.358 24.088 90.00 90.00 90.00
Sites, in units of the cell vectors:
1 Y 0.250 0.750 0.228
2 Y 0.250 0.750 0.772
3 Y 0.750 0.250 0.228
4 Y 0.750 0.250 0.772
5 Tm 0.000 0.000 0.396
6 Tm 0.000 0.000 0.604
7 Tm 0.000 0.500 0.396
8 Tm 0.000 0.500 0.604
9 Tm 0.081 0.581 0.062
10 Tm 0.081 0.919 0.938
11 Tm 0.250 0.250 0.162
12 Tm 0.250 0.250 0.291
13 Tm 0.250 0.250 0.709
14 Tm 0.250 0.250 0.838
15 Tm 0.419 0.581 0.938
16 Tm 0.419 0.919 0.062
17 Tm 0.500 0.000 0.396
18 Tm 0.500 0.000 0.604
19 Tm 0.500 0.500 0.396
20 Tm 0.500 0.500 0.604
21 Tm 0.581 0.081 0.938
22 Tm 0.581 0.419 0.062
23 Tm 0.750 0.750 0.162
24 Tm 0.750 0.750 0.291
25 Tm 0.750 0.750 0.709
26 Tm 0.750 0.750 0.838
27 Tm 0.919 0.081 0.062
28 Tm 0.919 0.419 0.938
29 Pu 0.250 0.750 0.500
30 Pu 0.750 0.250 0.500


Y8Tm4Pu: computed powder diffraction line list (Cu Ka), based on a GGA-PBE-relaxed structure.
Intensities are scaled so that the largest is 100.

Most intense lines, 2θ = 15–90°, in order of rising 2θ:
d [Å], I_rel
3.127, 17
2.985, 21
2.851, 100
2.717, 31
2.297, 35
1.818, 30

Crystal structure
Lattice parameters (Å, degrees): 9.890 9.890 9.890 43.14 43.14 43.14
Sites, in units of the cell vectors:
1 Y 0.204 0.743 0.743
2 Y 0.219 0.219 0.219
3 Y 0.257 0.257 0.796
4 Y 0.257 0.796 0.257
5 Y 0.743 0.204 0.743
6 Y 0.743 0.743 0.204
7 Y 0.781 0.781 0.781
8 Y 0.796 0.257 0.257
9 Tm 0.000 0.000 0.000
10 Tm 0.000 0.500 0.500
11 Tm 0.500 0.000 0.500
12 Tm 0.500 0.500 0.000
13 Pu 0.500 0.500 0.500


TmPuZn17: computed powder diffraction line list (Cu Ka), based on a GGA-PBE-relaxed structure.
Intensities are scaled so that the largest is 100.

Most intense lines, 2θ = 15–90°, in order of rising 2θ:
d [Å], I_rel
3.139, 38
2.589, 42
2.513, 24
2.242, 58
2.231, 100
2.198, 30

Crystal structure
Lattice parameters (Å, degrees): 6.792 6.792 6.792 82.63 82.63 82.63
Sites, in units of the cell vectors:
1 Tm 0.000 0.000 0.000
2 Pu 0.330 0.330 0.330
3 Zn 0.019 0.019 0.504
4 Zn 0.019 0.504 0.019
5 Zn 0.167 0.664 0.664
6 Zn 0.312 0.312 0.828
7 Zn 0.312 0.828 0.312
8 Zn 0.367 0.666 0.962
9 Zn 0.367 0.962 0.666
10 Zn 0.504 0.019 0.019
11 Zn 0.566 0.566 0.566
12 Zn 0.664 0.167 0.664
13 Zn 0.664 0.664 0.167
14 Zn 0.666 0.367 0.962
15 Zn 0.666 0.962 0.367
16 Zn 0.766 0.766 0.766
17 Zn 0.828 0.312 0.312
18 Zn 0.962 0.367 0.666
19 Zn 0.962 0.666 0.367


TmPu2Zn9: computed powder diffraction line list (Cu Ka), based on a GGA-PBE-relaxed structure.
Intensities are scaled so that the largest is 100.

Most intense lines, 2θ = 15–90°, in order of rising 2θ:
d [Å], I_rel
2.916, 40
2.675, 64
2.306, 27
2.282, 100
1.456, 25
1.337, 17

Crystal structure
Lattice parameters (Å, degrees): 9.286 9.286 9.286 33.47 33.47 33.47
Sites, in units of the cell vectors:
1 Tm 0.000 0.000 0.000
2 Pu 0.148 0.148 0.148
3 Pu 0.852 0.852 0.852
4 Zn 0.077 0.583 0.583
5 Zn 0.335 0.335 0.335
6 Zn 0.417 0.417 0.923
7 Zn 0.417 0.923 0.417
8 Zn 0.500 0.500 0.500
9 Zn 0.583 0.077 0.583
10 Zn 0.583 0.583 0.077
11 Zn 0.665 0.665 0.665
12 Zn 0.923 0.417 0.417